1.
Starting from a crystal structure in the Materials Project, relaxed with PBE, the XRD peak list of Y3Fe32Mo4 was simulated for Cu Kα, 1.54184 Å.
No peak broadening, texture or thermal motion is included.

Atomic structure:
Unit cell a=12.0634 b=4.7325 c=19.0135 alpha=90.00 beta=108.07 gamma=90.00
Space group Cm (No. 8)
Asymmetric unit:
1 Y 0.0000 0.0000 0.0000 x2
2 Y 0.1626 0.5000 0.3311 x2
3 Y 0.3337 0.0000 0.6669 x2
4 Fe 0.0110 0.0000 0.2550 x2
5 Fe 0.0434 0.5000 0.4506 x2
6 Fe 0.0689 0.5000 0.7846 x2
7 Fe 0.0694 0.5000 0.9235 x2
8 Fe 0.0798 0.2521 0.6663 x4
9 Fe 0.0807 0.2488 0.1648 x4
10 Fe 0.0895 0.0000 0.4046 x2
11 Fe 0.1155 0.0000 0.8782 x2
12 Fe 0.1490 0.5000 0.0744 x2
13 Fe 0.1795 0.5000 0.5897 x2
14 Fe 0.2095 0.0000 0.7841 x2
15 Fe 0.2353 0.0000 0.1175 x2
16 Fe 0.2367 0.0000 0.2568 x2
17 Fe 0.2461 0.2495 0.4980 x4
18 Fe 0.2468 0.2494 0.9987 x4
19 Fe 0.2547 0.5000 0.7385 x2
20 Fe 0.2821 0.5000 0.2115 x2
21 Fe 0.3129 0.0000 0.4062 x2
22 Fe 0.3442 0.0000 0.9221 x2
23 Fe 0.3761 0.5000 0.1174 x2
24 Fe 0.4027 0.5000 0.5915 x2
25 Fe 0.4132 0.2490 0.3306 x4
26 Fe 0.4138 0.2491 0.8315 x4
27 Fe 0.4211 0.0000 0.0714 x2
28 Fe 0.4492 0.0000 0.5454 x2
29 Fe 0.4822 0.5000 0.7413 x2
30 Mo 0.0918 0.0000 0.5470 x2
31 Mo 0.2522 0.5000 0.8758 x2
32 Mo 0.4005 0.5000 0.4499 x2
33 Mo 0.4183 0.0000 0.2081 x2

Main lines, by angle (2θ = 10–90°):
d (Å)	I (rel.)	h k l
2.443	34	3 1 3
2.430	38	3 1 -6
2.366	27	0 2 0
2.139	35	4 0 4
2.123	47	4 0 -8
2.118	74	5 1 -1
2.113	61	1 1 -8
2.069	100	2 2 -4
1.901	43	6 0 -6
1.861	62	0 2 6

---

2.
Starting from a crystal structure in the Materials Project, relaxed with PBE, the XRD peak list of NbCr3Ag2S8 was simulated for Cu Kα, 1.54184 Å.
No peak broadening, texture or thermal motion is included.

Atomic structure:
Unit cell a=12.2662 b=7.2542 c=11.6470 alpha=90.00 beta=90.36 gamma=90.00
Space group Pc (No. 7)
Asymmetric unit:
1 Nb 0.0000 0.0966 0.0000 x2
2 Nb 0.3652 0.3900 0.4673 x2
3 Cr 0.1989 0.1478 0.2333 x2
4 Cr 0.2450 0.3705 0.7682 x2
5 Cr 0.4945 0.1144 0.7169 x2
6 Cr 0.6924 0.1207 0.4698 x2
7 Cr 0.7398 0.3789 0.9491 x2
8 Cr 0.8556 0.3658 0.2344 x2
9 Ag 0.0101 0.3806 0.5068 x2
10 Ag 0.3582 0.1231 0.9924 x2
11 Ag 0.5217 0.3732 0.1978 x2
12 Ag 0.8494 0.1192 0.7202 x2
13 S 0.0372 0.3299 0.1491 x2
14 S 0.0605 0.1088 0.6358 x2
15 S 0.1563 0.1259 0.8805 x2
16 S 0.1806 0.3762 0.3796 x2
17 S 0.2946 0.4143 0.1258 x2
18 S 0.3123 0.1509 0.6357 x2
19 S 0.3829 0.1268 0.3286 x2
20 S 0.4235 0.3678 0.8452 x2
21 S 0.5419 0.3251 0.5665 x2
22 S 0.5563 0.0791 0.0802 x2
23 S 0.6574 0.1266 0.8356 x2
24 S 0.6846 0.3719 0.3343 x2
25 S 0.8027 0.4164 0.5916 x2
26 S 0.8055 0.1538 0.0819 x2
27 S 0.8783 0.1221 0.3909 x2
28 S 0.9085 0.3823 0.8639 x2

Main lines, by angle (2θ = 10–90°):
d (Å)	I (rel.)	h k l
6.133	39	2 0 0
3.356	65	3 0 -2
3.335	100	3 0 2
2.650	67	0 2 3
2.590	86	1 2 3
2.437	45	2 2 -3
2.429	44	2 2 3
2.002	51	5 2 -1
1.813	37	0 4 0
1.763	35	3 2 5

---

3.
Starting from a crystal structure in the Materials Project, relaxed with PBE, the XRD peak list of Sm2Fe17C3 was simulated for Cu Kα, 1.54184 Å.
No peak broadening, texture or thermal motion is included.

Atomic structure:
Unit cell a=8.6973 b=8.6973 c=12.5038 alpha=90.00 beta=90.00 gamma=120.00
Space group R-3m (No. 166, hexagonal axes)
Asymmetric unit:
1 Sm 0.0000 0.0000 0.1566 x6
2 Fe 0.0000 0.0000 0.4051 x6
3 Fe 0.0000 0.2839 0.5000 x18
4 Fe 0.0000 0.5000 0.0000 x9
5 Fe 0.0097 0.5048 0.3473 x18
6 C 0.0000 0.5000 0.5000 x9

Main lines, by angle (2θ = 10–90°):
d (Å)	I (rel.)	h k l
3.009	40	1 1 3
2.511	39	3 0 0
2.405	30	0 2 4
2.174	76	2 2 0
2.151	100	3 0 3
2.105	20	2 1 4
2.084	48	0 0 6
1.529	20	1 4 3
1.513	26	3 2 4
1.505	19	2 2 6